For K3NiO3, a DFT-relaxed cell (GGA+U, Alexandria) gives the theoretical powder XRD pattern in this record (Cu Kα (weighted mean of Kα1 and Kα2)).
Kinematic intensities with the Lorentz-polarization factor, no thermal factor.

Main lines, by angle (15° ≤ 2θ ≤ 90°):
(hkl), Position (°2θ), intensity
1 0 1, 20.9, 49.6
2 0 0, 26.4, 30.2
1 1 1, 28.1, 31.0
2 0 1, 31.2, 100.0
0 0 2, 32.7, 78.0
2 1 0, 35.2, 59.1
2 1 1, 39.0, 25.3
3 0 0, 40.1, 26.4
2 1 2, 48.8, 39.6
3 0 2, 52.7, 22.3

Cell and atoms:
```
data_K3NiO3
_chemical_formula_sum 'K6 Ni2 O6'
_symmetry_space_group_name_H-M 'P 63/m'
_symmetry_Int_Tables_number 176
_symmetry_space_group_name_Hall '-P 6c'
_cell_length_a 7.7827
_cell_length_b 7.7827
_cell_length_c 5.4754
_cell_angle_alpha 90.00
_cell_angle_beta 90.00
_cell_angle_gamma 120.00
loop_
_atom_site_label
_atom_site_type_symbol
_atom_site_fract_x
_atom_site_fract_y
_atom_site_fract_z
K1 K 0.0942 0.7283 0.2500
Ni1 Ni 0.3333 0.6667 0.7500
O1 O 0.1198 0.6979 0.7500
```